This entry pairs a crystal structure of LiTaNbAg2O6 with its computed powder X-ray diffraction pattern. Radiation: copper Kα. Structure: a cell relaxed with PBE.
No peak broadening, texture or thermal motion is included.

Atomic structure:
Cell lengths 4.064, 8.226, 4.129 Å; angles 90.00, 90.25, 90.00 degrees
Fractional positions:
Li: 0.000 0.000 0.000
Ta: 0.500 0.769 0.000
Nb: 0.500 0.290 0.000
Ag: 0.000 0.129 0.500
Ag: 0.000 0.551 0.500
O: 0.000 0.282 0.000
O: 0.000 0.777 0.000
O: 0.500 0.022 0.000
O: 0.500 0.292 0.500
O: 0.500 0.531 0.000
O: 0.500 0.767 0.500

Peak list (10 most intense, 2θ = 5–70°, in order of rising 2θ)
2θ 21.59, I = 24.5; 2θ 24.12, I = 12.3; 2θ 30.68, I = 60.1; 2θ 30.81, I = 39.5; 2θ 30.94, I = 100.0; 2θ 43.86, I = 24.9; 2θ 44.59, I = 23.7; 2θ 54.55, I = 12.3; 2θ 54.73, I = 22.3; 2θ 64.48, I = 13.2